Entry 1:
The following is a theoretical X-ray diffraction stick pattern of Cr2Fe2Sn. It was derived from a structure optimized by DFT (GGA-PBE), using Cu Kα X-rays.

Peak list (8 most intense, 10 to 90 degrees two-theta, by angle)
2θ (°), I (rel.)
36.7, 23
37.8, 21
41.2, 100
42.2, 41
44.3, 76
53.7, 26
69.1, 20
83.7, 30

Atomic structure:
Cell lengths 6.927, 6.927, 2.720 Å; angles 90.00, 90.00, 90.00 degrees
Atoms (fractional coordinates):
Cr 0.157 0.343 0.000
Cr 0.343 0.843 0.000
Cr 0.657 0.157 0.000
Cr 0.843 0.657 0.000
Fe 0.128 0.628 0.500
Fe 0.372 0.128 0.500
Fe 0.628 0.872 0.500
Fe 0.872 0.372 0.500
Sn 0.000 0.000 0.500
Sn 0.500 0.500 0.500

---

Entry 2:
The following is a theoretical X-ray diffraction stick pattern of BaTaZn. It was derived from a structure optimized by DFT (GGA-PBE), using Cu Kα X-rays.

Peak list (8 most intense, 10 to 90 degrees two-theta, by angle)
2θ (°), I (rel.)
12.1, 15
24.3, 24
28.9, 17
33.8, 100
40.3, 37
47.7, 16
52.5, 24
69.2, 25

Atomic structure:
Cell lengths 7.645, 7.645, 7.645 Å; angles 156.13, 156.13, 34.02 degrees
Atoms (fractional coordinates):
Ba 0.000 0.000 0.000
Ta 0.705 0.705 0.000
Zn 0.315 0.315 0.000

---

Entry 3:
The following is a theoretical X-ray diffraction stick pattern of LaAl2GaPd2. It was derived from a structure optimized by DFT (GGA-PBE), using Cu Kα X-rays.

Peak list (8 most intense, 10 to 90 degrees two-theta, by angle)
2θ (°), I (rel.)
27.1, 83
36.4, 100
38.7, 54
54.2, 63
55.9, 18
63.2, 15
68.6, 15
81.6, 19

Atomic structure:
Cell lengths 4.653, 4.653, 5.815 Å; angles 90.00, 90.00, 90.00 degrees
Atoms (fractional coordinates):
La 0.000 0.000 0.000
Al 0.000 0.500 0.500
Al 0.500 0.000 0.500
Ga 0.000 0.000 0.500
Pd 0.500 0.500 0.251
Pd 0.500 0.500 0.749

---

Entry 4:
The following is a theoretical X-ray diffraction stick pattern of LiFe2I2Br6. It was derived from a structure optimized by DFT (GGA-PBE), using Cu Kα X-rays.

Peak list (8 most intense, 10 to 90 degrees two-theta, by angle)
2θ (°), I (rel.)
15.2, 25
17.5, 42
26.2, 43
27.8, 100
31.8, 61
44.6, 37
46.6, 33
54.3, 33

Atomic structure:
Cell lengths 6.750, 6.750, 10.185 Å; angles 90.00, 90.00, 120.00 degrees
Atoms (fractional coordinates):
Li 0.000 0.000 0.000
Fe 0.333 0.667 0.765
Fe 0.667 0.333 0.235
I 0.333 0.667 0.514
I 0.667 0.333 0.486
Br 0.007 0.673 0.836
Br 0.327 0.334 0.836
Br 0.334 0.007 0.164
Br 0.666 0.993 0.836
Br 0.673 0.666 0.164
Br 0.993 0.327 0.164

---

Entry 5:
The following is a theoretical X-ray diffraction stick pattern of KTbTe4. It was derived from a structure optimized by DFT (GGA-PBE), using Cu Kα X-rays.

Peak list (8 most intense, 10 to 90 degrees two-theta, by angle)
2θ (°), I (rel.)
27.2, 65
30.8, 100
32.9, 30
35.5, 19
41.6, 37
42.4, 26
50.6, 20
57.6, 22

Atomic structure:
Cell lengths 6.859, 6.859, 8.919 Å; angles 90.00, 90.00, 90.00 degrees
Atoms (fractional coordinates):
K 0.250 0.250 0.000
K 0.750 0.750 0.000
Tb 0.250 0.250 0.500
Tb 0.750 0.750 0.500
Te 0.104 0.604 0.292
Te 0.104 0.896 0.708
Te 0.396 0.604 0.708
Te 0.396 0.896 0.292
Te 0.604 0.104 0.708
Te 0.604 0.396 0.292
Te 0.896 0.104 0.292
Te 0.896 0.396 0.708

---

Entry 6:
The following is a theoretical X-ray diffraction stick pattern of Tl3Hg5Bi. It was derived from a structure optimized by DFT (GGA-PBE), using Cu Kα X-rays.

Peak list (8 most intense, 10 to 90 degrees two-theta, by angle)
2θ (°), I (rel.)
31.8, 100
33.1, 87
46.6, 32
56.7, 16
57.5, 32
66.3, 25
76.3, 13
84.2, 11

Atomic structure:
Cell lengths 9.740, 9.740, 6.518 Å; angles 90.00, 90.00, 120.00 degrees
Atoms (fractional coordinates):
Tl 0.000 0.357 0.250
Tl 0.000 0.643 0.750
Tl 0.357 0.000 0.250
Tl 0.357 0.357 0.750
Tl 0.643 0.000 0.750
Tl 0.643 0.643 0.250
Hg 0.000 0.308 0.750
Hg 0.000 0.692 0.250
Hg 0.308 0.000 0.750
Hg 0.308 0.308 0.250
Hg 0.333 0.667 0.000
Hg 0.333 0.667 0.500
Hg 0.667 0.333 0.000
Hg 0.667 0.333 0.500
Hg 0.692 0.000 0.250
Hg 0.692 0.692 0.750
Bi 0.000 0.000 0.000
Bi 0.000 0.000 0.500

---

Entry 7:
The following is a theoretical X-ray diffraction stick pattern of TmFeB14. It was derived from a structure optimized by DFT (GGA-PBE), using Cu Kα X-rays.

Peak list (8 most intense, 10 to 90 degrees two-theta, by angle)
2θ (°), I (rel.)
16.8, 100
18.6, 35
25.2, 65
27.8, 82
33.7, 66
37.0, 54
40.2, 36
41.7, 57

Atomic structure:
Cell lengths 7.292, 7.292, 7.292 Å; angles 132.79, 87.57, 111.29 degrees
Atoms (fractional coordinates):
Tm 0.383 0.133 0.250
Tm 0.617 0.867 0.750
Fe 0.000 0.000 0.500
Fe 0.000 0.500 0.000
B 0.009 0.872 0.137
B 0.034 0.205 0.332
B 0.034 0.701 0.828
B 0.081 0.670 0.412
B 0.202 0.535 0.667
B 0.223 0.501 0.400
B 0.223 0.823 0.722
B 0.234 0.872 0.363
B 0.242 0.330 0.912
B 0.368 0.535 0.833
B 0.373 0.205 0.672
B 0.373 0.701 0.168
B 0.399 0.177 0.900
B 0.399 0.499 0.222
B 0.601 0.501 0.778
B 0.601 0.823 0.100
B 0.627 0.299 0.832
B 0.627 0.795 0.328
B 0.632 0.465 0.167
B 0.758 0.670 0.088
B 0.766 0.128 0.637
B 0.777 0.177 0.278
B 0.777 0.499 0.600
B 0.798 0.465 0.333
B 0.919 0.330 0.588
B 0.966 0.299 0.172
B 0.966 0.795 0.668
B 0.991 0.128 0.863

---

Entry 8:
The following is a theoretical X-ray diffraction stick pattern of Pu4Tl. It was derived from a structure optimized by DFT (GGA-PBE), using Cu Kα X-rays.

Peak list (8 most intense, 10 to 90 degrees two-theta, by angle)
2θ (°), I (rel.)
26.3, 81
30.4, 100
43.6, 77
51.6, 40
54.1, 28
69.8, 17
71.9, 36
80.0, 27

Atomic structure:
Cell lengths 5.875, 5.875, 5.875 Å; angles 90.00, 90.00, 90.00 degrees
Atoms (fractional coordinates):
Pu 0.000 0.000 0.000
Pu 0.000 0.500 0.500
Pu 0.500 0.000 0.500
Pu 0.500 0.500 0.000
Tl 0.500 0.500 0.500